Starting from a PBE-relaxed structure, the powder X-ray diffraction pattern of HoSF was calculated for Cu Kα (weighted mean of Kα1 and Kα2).
Lines closer than 0.1° are merged.

Atomic structure:
Lattice parameters (Å, degrees): 3.7659 3.7659 6.8416 90.00 90.00 90.00
Space group P4/nmm (No. 129, origin choice 2)
Symmetry-distinct sites (fractional):
Ho (0.2500, 0.2500, 0.2284) [2 per cell]
S (0.2500, 0.2500, 0.6432) [2 per cell]
F (0.2500, 0.7500, 0.0000) [2 per cell]

Peak list (12 most intense, 10 to 90 degrees two-theta, by angle)
d/Å, 2θ/deg, Rel. int.
3.421, 26.05, 315
3.299, 27.03, 1000
2.663, 33.66, 488
2.532, 35.45, 157
2.101, 43.05, 535
1.951, 46.56, 339
1.883, 48.34, 257
1.650, 55.72, 162
1.635, 56.25, 277
1.355, 69.37, 206
1.191, 80.68, 83
1.125, 86.54, 140